Structure and theoretical PXRD pattern of SmDy2Zn2Si4Au2 (a cell relaxed with GGA-PBE; Cu Kα, 1.54184 Å).

Atomic structure:
```
data_SmDy2Zn2Si4Au2
_chemical_formula_sum 'Sm2 Dy4 Zn4 Si8 Au4'
_cell_length_a 4.150
_cell_length_b 4.181
_cell_length_c 24.622
_cell_angle_alpha 90.00
_cell_angle_beta 90.00
_cell_angle_gamma 90.00
_space_group_name_H-M_alt 'I m m m'
_space_group_IT_number 71
_space_group_name_Hall '-I 2 2'
loop_
_atom_site_label
_atom_site_type_symbol
_atom_site_fract_x
_atom_site_fract_y
_atom_site_fract_z
_atom_site_occupancy
Sm1 Sm 0.000 0.000 0.000 1
Dy1 Dy 0.000 0.500 0.145 1
Zn1 Zn 0.000 0.500 0.406 1
Si1 Si 0.000 0.000 0.452 1
Si2 Si 0.000 0.500 0.311 1
Au1 Au 0.000 0.000 0.252 1
```

Largest 10 diffraction maxima, in order of falling intensity, 5 to 70 degrees two-theta:
- hkl 1 1 4, 2θ = 33.7°, d = 2.657 Å, I = 100
- hkl 0 0 2, 2θ = 7.2°, d = 12.311 Å, I = 59
- hkl 1 0 7, 2θ = 33.4°, d = 2.683 Å, I = 23
- hkl 0 2 0, 2θ = 43.3°, d = 2.091 Å, I = 18
- hkl 2 0 0, 2θ = 43.6°, d = 2.075 Å, I = 17
- hkl 0 0 8, 2θ = 29.0°, d = 3.078 Å, I = 16
- hkl 0 1 3, 2θ = 23.9°, d = 3.726 Å, I = 15
- hkl 0 1 11, 2θ = 46.0°, d = 1.973 Å, I = 13
- hkl 1 1 6, 2θ = 37.6°, d = 2.393 Å, I = 12
- hkl 2 2 0, 2θ = 63.1°, d = 1.473 Å, I = 11